# AcAgHg2
Simulated XRD peak list, λ = 1.5418 Å (Cu Kα). Input: a DFT-relaxed cell (GGA-PBE, the Materials Project).
Kinematic intensities with the Lorentz-polarization factor, no thermal factor.

The 10 most intense peaks (10° ≤ 2θ ≤ 80°), by angle:
- 2θ 20.36, rel. 5, hkl 1 1 1
- 2θ 23.55, rel. 1, hkl 2 0 0
- 2θ 33.55, rel. 100, hkl 2 2 0
- 2θ 39.57, rel. 3, hkl 3 1 1
- 2θ 48.18, rel. 18, hkl 4 0 0
- 2θ 52.83, rel. 1, hkl 3 3 1
- 2θ 59.99, rel. 38, hkl 4 2 2
- 2θ 64.05, rel. 1, hkl 5 1 1
- 2θ 70.52, rel. 12, hkl 4 4 0
- 2θ 74.28, rel. 1, hkl 5 3 1

Crystal structure
a = 7.554 Å, b = 7.554 Å, c = 7.554 Å
α = 90.00°, β = 90.00°, γ = 90.00°
Space group Fm-3m (No. 225)
Unique sites:
Ac 0.000 0.000 0.000 [4 per cell]
Ag 0.000 0.000 0.500 [4 per cell]
Hg 0.250 0.250 0.250 [8 per cell]